Record 1
LiHoTe: calculated powder diffractogram (λ = 1.5418 Å (Cu Kα)), based on a PBE-relaxed structure.

Peak list (12 most intense, 10° ≤ 2θ ≤ 90°, low angle first)
Position (°2θ)  intensity
16.3  16
22.1  47
24.0  39
30.8  27
31.6  15
32.9  86
34.9  100
35.1  87
40.6  32
53.2  44
60.3  37
66.9  26

Structural model:
```
data_LiHoTe
_cell_length_a 4.4483
_cell_length_b 6.6842
_cell_length_c 9.3802
_cell_angle_alpha 90.00
_cell_angle_beta 90.00
_cell_angle_gamma 90.00
_space_group_name_H-M_alt 'I m m m'
_space_group_IT_number 71
_space_group_name_Hall '-I 2 2'
loop_
_atom_site_label
_atom_site_type_symbol
_atom_site_fract_x
_atom_site_fract_y
_atom_site_fract_z
_atom_site_occupancy
Li1 Li 0.0000 0.0000 0.1549 1
Ho1 Ho 0.0000 0.2457 0.5000 1
Te1 Te 0.0000 0.5000 0.1903 1
```



Record 2
DyPuHgO6: calculated powder diffractogram (λ = 1.5418 Å (Cu Kα)), based on a PBE-relaxed structure.

Peak list (12 most intense, 10° ≤ 2θ ≤ 90°, low angle first)
Position (°2θ)  intensity
24.4  100
31.4  93
34.8  30
47.6  71
50.1  17
56.5  19
59.7  17
60.3  20
65.5  11
71.6  18
81.6  14
82.1  14

Structural model:
```
data_DyPuHgO6
_cell_length_a 5.1526
_cell_length_b 5.1526
_cell_length_c 10.2614
_cell_angle_alpha 90.00
_cell_angle_beta 90.00
_cell_angle_gamma 90.00
_space_group_name_H-M_alt 'P 42 n m'
_space_group_IT_number 102
_space_group_name_Hall 'P 4n -2n'
loop_
_atom_site_label
_atom_site_type_symbol
_atom_site_fract_x
_atom_site_fract_y
_atom_site_fract_z
_atom_site_occupancy
Dy1 Dy 0.0000 0.0000 0.0000 1
Pu1 Pu 0.0000 0.0000 0.6637 1
Hg1 Hg 0.0000 0.0000 0.3302 1
O1 O 0.1795 0.1795 0.8157 1
O2 O 0.1940 0.1940 0.5215 1
O3 O 0.2240 0.2240 0.1578 1
```



Record 3
Ni2PCl: calculated powder diffractogram (λ = 1.5418 Å (Cu Kα)), based on a PBE-relaxed structure.

Peak list (12 most intense, 10° ≤ 2θ ≤ 90°, low angle first)
Position (°2θ)  intensity
13.3  100
26.8  3
34.3  58
43.3  33
47.0  11
51.6  27
53.6  15
59.2  11
63.5  8
69.6  7
79.0  5
86.2  7

Structural model:
```
data_Ni2PCl
_cell_length_a 3.5402
_cell_length_b 3.5402
_cell_length_c 19.9528
_cell_angle_alpha 90.00
_cell_angle_beta 90.00
_cell_angle_gamma 120.00
_space_group_name_H-M_alt 'R 3 m'
_space_group_IT_number 160
_space_group_name_Hall 'R 3 -2"'
loop_
_atom_site_label
_atom_site_type_symbol
_atom_site_fract_x
_atom_site_fract_y
_atom_site_fract_z
_atom_site_occupancy
Ni1 Ni 0.0000 0.0000 0.0000 1
Ni2 Ni 0.0000 0.0000 0.2656 1
P1 P 0.0000 0.0000 0.5743 1
Cl1 Cl 0.0000 0.0000 0.7310 1
```



Record 4
Er4AlPd: calculated powder diffractogram (λ = 1.5418 Å (Cu Kα)), based on a PBE-relaxed structure.

Peak list (12 most intense, 10° ≤ 2θ ≤ 90°, low angle first)
Position (°2θ)  intensity
12.8  25
24.6  26
25.5  23
31.5  100
31.9  25
34.5  40
35.0  44
35.8  47
36.7  21
37.2  22
37.6  18
39.2  20

Structural model:
```
data_Er4AlPd
_cell_length_a 8.7719
_cell_length_b 13.5036
_cell_length_c 5.7517
_cell_angle_alpha 90.00
_cell_angle_beta 113.91
_cell_angle_gamma 90.00
_space_group_name_H-M_alt 'C 1 2/c 1'
_space_group_IT_number 15
_space_group_name_Hall '-C 2yc'
loop_
_atom_site_label
_atom_site_type_symbol
_atom_site_fract_x
_atom_site_fract_y
_atom_site_fract_z
_atom_site_occupancy
Er1 Er 0.1202 0.1829 0.0777 1
Er2 Er 0.2067 0.4273 0.3246 1
Al1 Al 0.0000 0.3744 0.7500 1
Pd1 Pd 0.0000 0.0006 0.2500 1
```



Record 5
Pm8SbN4: calculated powder diffractogram (λ = 1.5418 Å (Cu Kα)), based on a PBE-relaxed structure.

Peak list (12 most intense, 10° ≤ 2θ ≤ 90°, low angle first)
Position (°2θ)  intensity
14.0  16
23.0  9
28.3  100
32.8  46
35.8  22
43.0  35
47.0  42
55.8  27
60.5  15
65.6  12
70.5  12
84.6  8

Structural model:
```
data_Pm8SbN4
_cell_length_a 10.9310
_cell_length_b 10.9310
_cell_length_c 10.9310
_cell_angle_alpha 90.00
_cell_angle_beta 90.00
_cell_angle_gamma 90.00
_space_group_name_H-M_alt 'F -4 3 m'
_space_group_IT_number 216
_space_group_name_Hall 'F -4 2 3'
loop_
_atom_site_label
_atom_site_type_symbol
_atom_site_fract_x
_atom_site_fract_y
_atom_site_fract_z
_atom_site_occupancy
Pm1 Pm 0.1021 0.1021 0.1021 1
Pm2 Pm 0.1402 0.1402 0.6402 1
Sb1 Sb 0.2500 0.2500 0.2500 1
N1 N 0.1288 0.1288 0.8712 1
```



Record 6
Pm2Y9Er: calculated powder diffractogram (λ = 1.5418 Å (Cu Kα)), based on a PBE-relaxed structure.

Peak list (12 most intense, 10° ≤ 2θ ≤ 90°, low angle first)
Position (°2θ)  intensity
17.5  6
24.9  5
30.6  100
35.5  50
39.8  3
43.8  2
51.0  35
60.7  41
63.7  12
75.1  5
83.2  17
85.8  15

Structural model:
```
data_Pm2Y9Er
_cell_length_a 5.0626
_cell_length_b 5.0626
_cell_length_c 15.1855
_cell_angle_alpha 90.00
_cell_angle_beta 90.00
_cell_angle_gamma 90.00
_space_group_name_H-M_alt 'P 4/m m m'
_space_group_IT_number 123
_space_group_name_Hall '-P 4 2'
loop_
_atom_site_label
_atom_site_type_symbol
_atom_site_fract_x
_atom_site_fract_y
_atom_site_fract_z
_atom_site_occupancy
Pm1 Pm 0.0000 0.0000 0.1673 1
Y1 Y 0.0000 0.5000 0.0000 1
Y2 Y 0.0000 0.5000 0.3352 1
Y3 Y 0.5000 0.5000 0.1680 1
Y4 Y 0.5000 0.5000 0.5000 1
Er1 Er 0.0000 0.0000 0.5000 1
```



Record 7
La4Tb2Sm3: calculated powder diffractogram (λ = 1.5418 Å (Cu Kα)), based on a PBE-relaxed structure.

Peak list (12 most intense, 10° ≤ 2θ ≤ 90°, low angle first)
Position (°2θ)  intensity
29.8  100
34.4  17
34.6  17
34.8  17
49.6  12
49.7  18
58.9  15
59.0  7
59.1  7
59.2  7
59.3  7
61.9  6

Structural model:
```
data_La4Tb2Sm3
_cell_length_a 15.5540
_cell_length_b 5.2092
_cell_length_c 8.1594
_cell_angle_alpha 90.00
_cell_angle_beta 108.36
_cell_angle_gamma 90.00
_space_group_name_H-M_alt 'C 1 2/m 1'
_space_group_IT_number 12
_space_group_name_Hall '-C 2y'
loop_
_atom_site_label
_atom_site_type_symbol
_atom_site_fract_x
_atom_site_fract_y
_atom_site_fract_z
_atom_site_occupancy
La1 La 0.0546 0.0000 0.3305 1
La2 La 0.2233 0.5000 0.3311 1
Tb1 Tb 0.1675 0.0000 0.9996 1
Sm1 Sm 0.0000 0.5000 0.0000 1
Sm2 Sm 0.1120 0.5000 0.6704 1
```



Record 8
Tb4Nd3Tm5: calculated powder diffractogram (λ = 1.5418 Å (Cu Kα)), based on a PBE-relaxed structure.

Peak list (12 most intense, 10° ≤ 2θ ≤ 90°, low angle first)
Position (°2θ)  intensity
30.8  100
35.7  34
35.7  17
51.3  24
51.4  12
61.0  14
61.1  25
64.1  6
83.7  6
83.9  6
86.5  7
86.6  4

Structural model:
```
data_Tb4Nd3Tm5
_cell_length_a 6.1596
_cell_length_b 7.1173
_cell_length_c 8.7160
_cell_angle_alpha 89.93
_cell_angle_beta 89.85
_cell_angle_gamma 89.85
_space_group_name_H-M_alt 'P -1'
_space_group_IT_number 2
_space_group_name_Hall '-P 1'
loop_
_atom_site_label
_atom_site_type_symbol
_atom_site_fract_x
_atom_site_fract_y
_atom_site_fract_z
_atom_site_occupancy
Tb1 Tb 0.1674 0.0002 0.3310 1
Tb2 Tb 0.3308 0.7508 0.6673 1
Nd1 Nd 0.3329 0.2497 0.6663 1
Nd2 Nd 0.5000 0.5000 0.0000 1
Tm1 Tm 0.0010 0.7505 0.9998 1
Tm2 Tm 0.1648 0.4997 0.3313 1
Tm3 Tm 0.5000 0.0000 0.0000 1
```



Record 9
Tb4Nd2Sm3: calculated powder diffractogram (λ = 1.5418 Å (Cu Kα)), based on a PBE-relaxed structure.

Peak list (12 most intense, 10° ≤ 2θ ≤ 90°, low angle first)
Position (°2θ)  intensity
28.0  11
30.0  61
30.3  60
30.5  48
31.4  100
37.2  33
37.4  29
49.0  12
49.8  14
50.5  13
54.8  14
55.2  24

Structural model:
```
data_Tb4Nd2Sm3
_cell_length_a 16.7945
_cell_length_b 11.7208
_cell_length_c 6.1047
_cell_angle_alpha 90.00
_cell_angle_beta 96.81
_cell_angle_gamma 90.00
_space_group_name_H-M_alt 'C 1 2/c 1'
_space_group_IT_number 15
_space_group_name_Hall '-C 2yc'
loop_
_atom_site_label
_atom_site_type_symbol
_atom_site_fract_x
_atom_site_fract_y
_atom_site_fract_z
_atom_site_occupancy
Tb1 Tb 0.0617 0.1085 0.0443 1
Tb2 Tb 0.2319 0.3900 0.8731 1
Nd1 Nd 0.1057 0.3848 0.2814 1
Sm1 Sm 0.0000 0.3511 0.7500 1
Sm2 Sm 0.1647 0.1513 0.5865 1
```



Record 10
Pm2ThS4: calculated powder diffractogram (λ = 1.5418 Å (Cu Kα)), based on a PBE-relaxed structure.

Peak list (12 most intense, 10° ≤ 2θ ≤ 90°, low angle first)
Position (°2θ)  intensity
25.2  100
25.9  81
29.0  19
32.5  43
32.8  40
34.1  35
38.7  22
39.2  24
40.1  29
48.7  28
50.2  34
53.6  17

Structural model:
```
data_Pm2ThS4
_cell_length_a 8.2687
_cell_length_b 8.6902
_cell_length_c 8.7546
_cell_angle_alpha 90.00
_cell_angle_beta 90.00
_cell_angle_gamma 90.00
_space_group_name_H-M_alt 'I 21 21 21'
_space_group_IT_number 24
_space_group_name_Hall 'I 2b 2c'
loop_
_atom_site_label
_atom_site_type_symbol
_atom_site_fract_x
_atom_site_fract_y
_atom_site_fract_z
_atom_site_occupancy
Pm1 Pm 0.0000 0.2500 0.0862 1
Pm2 Pm 0.1348 0.5000 0.7500 1
Th1 Th 0.2500 0.1502 0.5000 1
S1 S 0.0707 0.4321 0.4265 1
S2 S 0.1818 0.1729 0.8152 1
```